1.
This entry pairs a crystal structure of Sm5ScTl8 with its theoretical powder XRD pattern. Radiation: Cu Ka. Structure: the GGA-PBE geometry in Alexandria.

The 12 most intense peaks (2θ = 10–80°), in order of falling intensity:
2θ = 30.08°, d = 2.971 Å, I = 100
2θ = 36.25°, d = 2.478 Å, I = 54
2θ = 30.66°, d = 2.916 Å, I = 39
2θ = 35.79°, d = 2.509 Å, I = 36
2θ = 35.96°, d = 2.497 Å, I = 33
2θ = 47.55°, d = 1.912 Å, I = 27
2θ = 60.76°, d = 1.524 Å, I = 13
2θ = 23.26°, d = 3.824 Å, I = 13
2θ = 49.46°, d = 1.843 Å, I = 11
2θ = 23.51°, d = 3.783 Å, I = 11
2θ = 49.83°, d = 1.830 Å, I = 10
2θ = 64.23°, d = 1.450 Å, I = 9

Structure:
Cell lengths 8.085, 8.085, 8.085 Å; angles 108.89, 108.89, 110.63 degrees
Fractional positions:
Sm 0.000 0.000 0.000
Sm 0.130 0.485 0.876
Sm 0.515 0.390 0.644
Sm 0.610 0.254 0.124
Sm 0.746 0.870 0.356
Sc 0.250 0.750 0.500
Tl 0.040 0.304 0.408
Tl 0.202 0.102 0.726
Tl 0.369 0.960 0.264
Tl 0.376 0.476 0.274
Tl 0.524 0.798 0.900
Tl 0.696 0.105 0.736
Tl 0.895 0.631 0.592
Tl 0.898 0.624 0.100

=====

2.
This entry pairs a crystal structure of Cs3CdI6 with its theoretical powder XRD pattern. Radiation: Cu Ka. Structure: the GGA-PBE geometry in Alexandria.

The 12 most intense peaks (2θ = 10–80°), in order of falling intensity:
2θ = 27.09°, d = 3.292 Å, I = 100
2θ = 38.69°, d = 2.328 Å, I = 71
2θ = 23.40°, d = 3.801 Å, I = 70
2θ = 45.71°, d = 1.985 Å, I = 27
2θ = 63.16°, d = 1.472 Å, I = 27
2θ = 19.07°, d = 4.655 Å, I = 24
2θ = 47.86°, d = 1.900 Å, I = 24
2θ = 13.45°, d = 6.583 Å, I = 22
2θ = 70.02°, d = 1.344 Å, I = 18
2θ = 35.43°, d = 2.534 Å, I = 12
2θ = 55.86°, d = 1.646 Å, I = 11
2θ = 74.55°, d = 1.273 Å, I = 10

Structure:
Cell lengths 9.310, 9.310, 9.310 Å; angles 60.00, 60.00, 60.00 degrees
Fractional positions:
Cs 0.000 0.000 0.000
Cs 0.250 0.250 0.250
Cs 0.750 0.750 0.750
Cd 0.500 0.500 0.500
I 0.274 0.274 0.726
I 0.274 0.726 0.274
I 0.274 0.726 0.726
I 0.726 0.274 0.274
I 0.726 0.274 0.726
I 0.726 0.726 0.274